# LiZn2Fe4O8
Theoretical X-ray diffraction stick pattern, a wavelength of 1.5418 Å. Input: DFT lattice parameters and positions (GGA+U).

Atomic structure:
a b c (Å): 6.217 6.217 6.217
angles (deg): 122.41 120.86 87.19
Sites, in units of the cell vectors:
Li  0.000  0.000  0.000
Zn  0.195  0.465  0.270
Zn  0.195  0.925  0.730
Fe  0.143  0.409  0.734
Fe  0.552  0.052  0.500
Fe  0.674  0.409  0.266
Fe  0.730  0.730  0.000
O  0.350  0.630  0.720
O  0.393  0.165  0.228
O  0.419  0.183  0.764
O  0.419  0.655  0.236
O  0.889  0.157  0.268
O  0.889  0.622  0.732
O  0.910  0.630  0.280
O  0.936  0.165  0.772

Main lines, sorted by position (2θ from 10° to 90°):
d (Å)  I/Imax
2.684  64
2.613  78
2.578  100
2.143  39
1.660  40
1.552  55